Structure and computed powder diffraction line list of Tc4Ru (a GGA-PBE-relaxed structure; Cu Kα).
Kinematic intensities with the Lorentz-polarization factor, no thermal factor.

Top 6 peaks for 2θ = 10–90°, low angle first:
2θ 40.38, I = 100, (2 1 1); 2θ 46.98, I = 48, (1 3 0); 2θ 68.62, I = 30, (4 2 0); 2θ 82.66, I = 12, (2 1 3); 2θ 82.79, I = 24, (5 0 1); 2θ 87.31, I = 11, (4 2 2)

Cell and atoms:
```
10
Lattice="6.1131 0.0000 0.0000 0.0000 6.1131 0.0000 0.0000 0.0000 3.8731" Properties=species:S:1:pos:R:3 pbc="T T T"
Tc 0.6308 1.8270 0.0000
Tc 1.2296 3.6874 1.9366
Tc 1.8270 5.4823 0.0000
Tc 2.4257 1.2296 1.9366
Tc 3.6874 4.8835 1.9366
Tc 4.2861 0.6308 0.0000
Tc 4.8835 2.4257 1.9366
Tc 5.4823 4.2861 0.0000
Ru 0.0000 0.0000 1.9366
Ru 3.0565 3.0565 0.0000
```

Structure and computed powder diffraction line list of Tc3Ru (a GGA-PBE-relaxed structure; Cu Kα).
Kinematic intensities with the Lorentz-polarization factor, no thermal factor.

Top 5 peaks for 2θ = 10–90°, low angle first:
2θ 40.40, I = 100, (1 0 4); 2θ 47.00, I = 48, (0 1 8); 2θ 68.65, I = 30, (1 1 0); 2θ 82.79, I = 36, (1 1 12); 2θ 87.36, I = 11, (2 0 8)

Cell and atoms:
```
12
Lattice="2.7334 0.0000 0.0000 -1.3667 2.3672 0.0000 0.0000 0.0000 26.8045" Properties=species:S:1:pos:R:3 pbc="T T T"
Tc 0.0000 0.0000 0.0000
Tc 0.0000 0.0000 6.6924
Tc 0.0000 0.0000 20.1121
Tc 0.0000 1.5781 11.1773
Tc 0.0000 1.5781 17.8697
Tc 0.0000 1.5781 24.5620
Tc 1.3667 0.7891 2.2425
Tc 1.3667 0.7891 8.9348
Tc 1.3667 0.7891 15.6272
Ru 0.0000 0.0000 13.4022
Ru 0.0000 1.5781 4.4674
Ru 1.3667 0.7891 22.3370
```